The following is a theoretical powder XRD pattern of ScPbO2F. It was derived from the PBE geometry in Alexandria, using Cu Kα (λ = 1.5418 Å).

Main lines, low angle first (10 to 80 degrees two-theta):
h k l, 2θ (°), I (rel.)
1 0 0, 21.26, 42
0 0 1, 21.77, 22
1 1 0, 30.25, 54
1 0 1, 30.61, 100
1 1 1, 37.58, 50
2 0 0, 43.31, 33
0 0 2, 44.37, 15
2 1 1, 53.96, 42
1 1 2, 54.65, 21
2 0 2, 63.74, 20

Cell and atoms:
Cell: 4.1784 4.1784 4.0829 Å, 90.00 90.00 90.00°
Space group P4/mmm (No. 123)
Unique sites:
Sc (0.0000, 0.0000, 0.0000) x1
Pb (0.5000, 0.5000, 0.5000) x1
O (0.0000, 0.5000, 0.0000) x2
F (0.0000, 0.0000, 0.5000) x1